[1]
Structure and simulated powder diffractogram of MgTi2Zn2P2O10 (a cell relaxed with PBE; Cu Kα (weighted mean of Kα1 and Kα2)).
Intensities are scaled so that the largest is 100.

Structural model:
Cell lengths 5.769, 6.078, 7.370 Å; angles 107.07, 108.21, 93.06 degrees
Element x y z (fractional)
Mg 0.000 0.000 0.000
Ti 0.234 0.372 0.882
Ti 0.311 0.490 0.416
Zn 0.325 0.812 0.828
Zn 0.503 0.031 0.176
P 0.584 0.051 0.613
P 0.852 0.662 0.132
O 0.005 0.616 0.325
O 0.241 0.297 0.145
O 0.250 0.490 0.652
O 0.394 0.093 0.725
O 0.536 0.784 0.492
O 0.548 0.197 0.466
O 0.592 0.523 0.049
O 0.844 0.934 0.187
O 0.855 0.112 0.765
O 0.984 0.622 0.970

Top 10 peaks for 2θ from 5° to 70°, by angle:
two_theta	intensity	index
13.38	44	0 0 1
16.39	100	1 0 0
22.00	67	1 1 -1
24.37	60	1 1 0
24.58	42	1 0 1
26.32	44	1 0 -2
31.15	32	2 0 -1
32.93	27	1 -2 0
34.32	39	2 -1 0
35.96	28	1 2 -2


[2]
Structure and simulated powder diffractogram of MgTi2Zn2P2O10 (a cell relaxed with PBE; Cu Kα (weighted mean of Kα1 and Kα2)).
Intensities are scaled so that the largest is 100.

Structural model:
Cell lengths 5.698, 6.138, 7.102 Å; angles 113.87, 94.86, 100.72 degrees
Element x y z (fractional)
Mg 0.000 0.000 0.000
Ti 0.194 0.666 0.313
Ti 0.250 0.221 0.453
Zn 0.451 0.610 0.965
Zn 0.685 0.782 0.317
P 0.480 0.031 0.794
P 0.823 0.500 0.597
O 0.032 0.381 0.625
O 0.041 0.907 0.260
O 0.180 0.334 0.240
O 0.310 0.905 0.900
O 0.365 0.230 0.758
O 0.469 0.828 0.565
O 0.600 0.295 0.453
O 0.739 0.139 0.914
O 0.767 0.656 0.813
O 0.907 0.667 0.484

Top 10 peaks for 2θ from 5° to 70°, by angle:
two_theta	intensity	index
16.26	88	0 1 0
25.62	80	0 1 1
26.68	54	-1 1 1
27.92	52	0 0 2
29.64	93	0 2 -1
29.78	51	1 1 -2
31.09	100	1 -2 1
33.04	93	2 0 -1
33.79	67	1 1 1
38.19	40	0 1 -3


[3]
Structure and simulated powder diffractogram of MgTi2Zn2P2O10 (a cell relaxed with PBE; Cu Kα (weighted mean of Kα1 and Kα2)).
Intensities are scaled so that the largest is 100.

Structural model:
Cell lengths 5.496, 5.691, 7.495 Å; angles 104.58, 107.96, 99.20 degrees
Element x y z (fractional)
Mg 0.000 0.000 0.000
Ti 0.429 0.135 0.820
Ti 0.468 0.164 0.350
Zn 0.165 0.496 0.530
Zn 0.559 0.774 0.993
P 0.094 0.508 0.084
P 0.745 0.792 0.539
O 0.005 0.925 0.723
O 0.121 0.787 0.185
O 0.157 0.368 0.243
O 0.282 0.479 0.964
O 0.351 0.238 0.580
O 0.410 0.099 0.078
O 0.496 0.790 0.597
O 0.723 0.932 0.385
O 0.776 0.515 0.462
O 0.814 0.354 0.939

Top 10 peaks for 2θ from 5° to 70°, by angle:
two_theta	intensity	index
17.57	52	1 0 0
25.84	28	1 0 -2
26.37	100	0 1 -2
27.30	67	1 1 0
33.02	59	-1 1 2
33.78	75	1 -2 0
34.75	30	1 -1 2
35.78	28	0 1 2
39.52	34	1 2 -2
43.45	30	2 1 0